Ca4Pm2Sb3O2: calculated X-ray diffraction stick pattern (CuKα), based on a cell relaxed with PBE.
Peak positions follow from Bragg's law for the DFT cell and can differ from measured ones.

Crystal structure
Cell: 13.2004 13.2004 13.2004 Å, 159.57 159.57 29.05°
Fractional coordinates of all 11 atoms:
Ca (0.0831, 0.5831, 0.5000)
Ca (0.4169, 0.9169, 0.5000)
Ca (0.5831, 0.0831, 0.5000)
Ca (0.9169, 0.4169, 0.5000)
Pm (0.1937, 0.1937, 0.0000)
Pm (0.8063, 0.8063, 0.0000)
Sb (0.3213, 0.3213, 0.0000)
Sb (0.5000, 0.5000, 0.0000)
Sb (0.6787, 0.6787, 0.0000)
O (0.1018, 0.1018, 0.0000)
O (0.8982, 0.8982, 0.0000)

Most intense lines, 2θ = 10–90°, in order of rising 2θ:
2theta, d_spacing, I_rel
21.66, 4.104, 19
26.93, 3.311, 63
27.86, 3.202, 68
31.06, 2.879, 31
34.30, 2.614, 100
38.45, 2.341, 66
48.19, 1.888, 19
53.04, 1.726, 22
55.50, 1.656, 22
66.89, 1.399, 27